Diffraction record for SmMg5Sb4. The powder diffraction line list is computed, not measured: it uses a DFT-relaxed cell (GGA-PBE, Alexandria) and Cu Ka.
Lines closer than 0.1° are merged.

Structure:
abc: 4.659 4.659 14.648
angles: 90.00 90.00 120.00
Positions (direct):
Sm: 0.000 0.000 0.000
Mg: 0.000 0.000 0.500
Mg: 0.333 0.667 0.327
Mg: 0.333 0.667 0.810
Mg: 0.667 0.333 0.190
Mg: 0.667 0.333 0.673
Sb: 0.333 0.667 0.124
Sb: 0.333 0.667 0.611
Sb: 0.667 0.333 0.389
Sb: 0.667 0.333 0.876

Main lines, by angle (15 to 90 degrees two-theta):
22.9 deg, I 14, hkl 0 1 1
25.2 deg, I 100, hkl 0 1 2
33.0 deg, I 65, hkl 0 1 4
38.6 deg, I 60, hkl 1 1 0
43.3 deg, I 35, hkl 1 0 6
46.7 deg, I 19, hkl 2 0 2
51.7 deg, I 18, hkl 2 0 4
59.4 deg, I 16, hkl 0 2 6
62.2 deg, I 16, hkl 1 2 2
66.4 deg, I 17, hkl 1 2 4